1.
Starting from a PBE+U-relaxed structure, the X-ray diffraction stick pattern of Sr6CaMn4O13 was computed for Cu Kα (weighted mean of Kα1 and Kα2).

Crystal structure
Unit cell a=6.902 b=9.912 c=10.198 alpha=90.00 beta=94.03 gamma=90.00
Element x y z (fractional)
Sr 0.001 0.000 0.250
Sr 0.163 0.860 0.551
Sr 0.164 0.642 0.054
Sr 0.336 0.990 0.910
Sr 0.338 0.513 0.411
Sr 0.493 0.676 0.787
Sr 0.507 0.176 0.213
Sr 0.662 0.013 0.589
Sr 0.664 0.490 0.090
Sr 0.836 0.142 0.946
Sr 0.837 0.360 0.449
Sr 0.999 0.500 0.750
Ca 0.494 0.823 0.289
Ca 0.506 0.323 0.711
Mn 0.073 0.169 0.674
Mn 0.074 0.335 0.173
Mn 0.274 0.323 0.967
Mn 0.275 0.176 0.471
Mn 0.725 0.676 0.529
Mn 0.726 0.823 0.033
Mn 0.926 0.835 0.827
Mn 0.927 0.669 0.326
O 0.001 0.001 0.750
O 0.007 0.108 0.476
O 0.007 0.395 0.975
O 0.163 0.753 0.793
O 0.172 0.749 0.294
O 0.175 0.173 0.081
O 0.179 0.329 0.584
O 0.341 0.409 0.167
O 0.342 0.098 0.670
O 0.352 0.024 0.371
O 0.352 0.468 0.863
O 0.492 0.728 0.056
O 0.492 0.772 0.549
O 0.508 0.228 0.944
O 0.508 0.272 0.451
O 0.648 0.524 0.629
O 0.648 0.968 0.137
O 0.658 0.598 0.330
O 0.659 0.909 0.833
O 0.821 0.829 0.416
O 0.825 0.673 0.919
O 0.828 0.249 0.706
O 0.837 0.253 0.207
O 0.993 0.608 0.524
O 0.993 0.895 0.025
O 0.999 0.501 0.250

Top 10 peaks for 10 to 80 degrees two-theta, sorted by position:
2theta  d_spacing  I/Imax
27.71  3.220  28
27.81  3.208  28
28.25  3.159  33
31.55  2.836  100
32.41  2.762  54
33.87  2.647  28
36.47  2.463  28
42.25  2.139  30
43.45  2.083  20
57.27  1.609  18



2.
Starting from a PBE+U-relaxed structure, the X-ray diffraction stick pattern of MnSiO3 was computed for Cu Kα (weighted mean of Kα1 and Kα2).

Crystal structure
Unit cell a=6.480 b=8.128 c=12.414 alpha=76.95 beta=89.65 gamma=79.86
Element x y z (fractional)
Mn 0.000 0.000 0.000
Mn 0.069 0.839 0.248
Mn 0.151 0.148 0.508
Mn 0.177 0.201 0.189
Mn 0.390 0.419 0.350
Mn 0.500 0.000 0.000
Mn 0.610 0.581 0.650
Mn 0.823 0.799 0.811
Mn 0.849 0.852 0.492
Mn 0.931 0.161 0.752
Si 0.144 0.493 0.648
Si 0.228 0.593 0.071
Si 0.313 0.807 0.832
Si 0.340 0.750 0.453
Si 0.418 0.419 0.880
Si 0.582 0.581 0.120
Si 0.660 0.250 0.547
Si 0.687 0.193 0.168
Si 0.772 0.407 0.929
Si 0.856 0.507 0.352
O 0.059 0.763 0.075
O 0.077 0.371 0.360
O 0.096 0.857 0.759
O 0.109 0.436 0.113
O 0.118 0.299 0.648
O 0.149 0.915 0.443
O 0.210 0.007 0.123
O 0.294 0.577 0.549
O 0.296 0.955 0.903
O 0.303 0.486 0.757
O 0.306 0.608 0.930
O 0.342 0.689 0.335
O 0.378 0.245 0.960
O 0.446 0.216 0.495
O 0.469 0.223 0.232
O 0.531 0.777 0.768
O 0.554 0.784 0.505
O 0.622 0.755 0.040
O 0.658 0.311 0.665
O 0.694 0.392 0.070
O 0.697 0.514 0.243
O 0.704 0.045 0.097
O 0.706 0.423 0.451
O 0.790 0.993 0.877
O 0.851 0.085 0.557
O 0.882 0.701 0.352
O 0.891 0.564 0.887
O 0.904 0.143 0.241
O 0.923 0.629 0.640
O 0.941 0.237 0.925

Top 10 peaks for 10 to 80 degrees two-theta, sorted by position:
2theta  d_spacing  I/Imax
14.87  5.957  44
20.56  4.321  40
27.14  3.285  50
29.16  3.062  100
29.79  3.000  44
30.00  2.979  43
31.26  2.861  50
32.21  2.779  69
32.80  2.730  43
34.34  2.612  45



3.
Starting from a PBE+U-relaxed structure, the X-ray diffraction stick pattern of Na2FeO3 was computed for Cu Kα (weighted mean of Kα1 and Kα2).

Crystal structure
Unit cell a=5.368 b=6.481 c=8.492 alpha=75.69 beta=77.89 gamma=74.14
Element x y z (fractional)
Na 0.233 0.421 0.081
Na 0.250 0.250 0.750
Na 0.255 0.750 0.748
Na 0.261 0.080 0.420
Na 0.739 0.920 0.580
Na 0.745 0.250 0.252
Na 0.750 0.750 0.250
Na 0.767 0.579 0.919
Fe 0.249 0.583 0.416
Fe 0.250 0.916 0.083
Fe 0.750 0.084 0.917
Fe 0.751 0.417 0.584
O 0.010 0.579 0.624
O 0.015 0.798 0.994
O 0.064 0.876 0.324
O 0.435 0.605 0.193
O 0.486 0.075 0.130
O 0.491 0.304 0.492
O 0.509 0.696 0.508
O 0.514 0.925 0.870
O 0.565 0.395 0.807
O 0.936 0.124 0.676
O 0.985 0.202 0.006
O 0.990 0.421 0.376

Top 10 peaks for 10 to 80 degrees two-theta, sorted by position:
2theta  d_spacing  I/Imax
16.30  5.438  60
19.88  4.466  16
32.94  2.719  17
35.22  2.548  27
39.97  2.256  50
40.29  2.238  100
56.39  1.632  14
56.61  1.626  14
56.98  1.616  15
59.63  1.551  25



4.
Starting from a PBE+U-relaxed structure, the X-ray diffraction stick pattern of FeOF was computed for Cu Kα (weighted mean of Kα1 and Kα2).

Crystal structure
Unit cell a=9.593 b=3.092 c=14.269 alpha=90.00 beta=90.63 gamma=90.00
Element x y z (fractional)
Fe 0.000 0.000 0.000
Fe 0.001 0.000 0.664
Fe 0.216 0.500 0.498
Fe 0.250 0.500 0.140
Fe 0.281 0.500 0.830
Fe 0.495 0.000 0.998
Fe 0.499 0.000 0.671
Fe 0.504 0.000 0.328
Fe 0.746 0.500 0.476
Fe 0.751 0.500 0.136
Fe 0.753 0.500 0.807
Fe 0.998 0.000 0.336
O 0.092 0.500 0.599
O 0.153 0.000 0.426
O 0.154 0.000 0.092
O 0.356 0.000 0.893
O 0.402 0.500 0.720
O 0.408 0.500 0.060
O 0.645 0.000 0.421
O 0.652 0.000 0.091
O 0.656 0.000 0.757
O 0.899 0.500 0.388
O 0.907 0.500 0.052
O 0.907 0.500 0.723
F 0.095 0.500 0.260
F 0.098 0.500 0.924
F 0.159 0.000 0.767
F 0.349 0.000 0.553
F 0.351 0.000 0.228
F 0.403 0.500 0.386
F 0.591 0.500 0.258
F 0.596 0.500 0.588
F 0.604 0.500 0.926
F 0.836 0.000 0.552
F 0.845 0.000 0.221
F 0.853 0.000 0.888

Top 10 peaks for 10 to 80 degrees two-theta, sorted by position:
2theta  d_spacing  I/Imax
26.24  3.396  96
26.54  3.359  94
34.56  2.596  100
39.42  2.286  21
51.78  1.766  28
51.97  1.760  26
52.11  1.755  27
52.30  1.749  26
59.83  1.546  19
65.75  1.420  20



5.
Starting from a PBE+U-relaxed structure, the X-ray diffraction stick pattern of Sr2FeCuPb2O6 was computed for Cu Kα (weighted mean of Kα1 and Kα2).

Crystal structure
Unit cell a=12.336 b=5.635 c=5.557 alpha=90.00 beta=90.00 gamma=90.00
Element x y z (fractional)
Sr 0.142 0.002 0.000
Sr 0.142 0.498 0.500
Sr 0.858 0.502 0.500
Sr 0.858 0.998 0.000
Fe 0.000 0.000 0.497
Fe 0.000 0.500 0.997
Cu 0.500 0.000 0.043
Cu 0.500 0.500 0.543
Pb 0.354 0.011 0.496
Pb 0.354 0.489 0.996
Pb 0.646 0.511 0.996
Pb 0.646 0.989 0.496
O 0.001 0.249 0.246
O 0.001 0.251 0.746
O 0.176 0.505 0.999
O 0.176 0.995 0.499
O 0.354 0.083 0.062
O 0.354 0.417 0.562
O 0.646 0.583 0.562
O 0.646 0.917 0.062
O 0.824 0.005 0.499
O 0.824 0.495 0.999
O 0.999 0.749 0.746
O 0.999 0.751 0.246

Top 10 peaks for 10 to 80 degrees two-theta, sorted by position:
2theta  d_spacing  I/Imax
22.47  3.957  17
23.61  3.768  22
28.95  3.084  13
31.38  2.851  100
31.76  2.818  35
32.22  2.778  34
45.87  1.978  29
56.34  1.633  21
56.92  1.618  19
75.72  1.256  13



6.
Starting from a PBE+U-relaxed structure, the X-ray diffraction stick pattern of Li2TiNi2O5 was computed for Cu Kα (weighted mean of Kα1 and Kα2).

Crystal structure
Unit cell a=7.841 b=7.841 c=5.078 alpha=95.89 beta=95.89 gamma=142.57
Element x y z (fractional)
Li 0.053 0.947 0.750
Li 0.249 0.751 0.750
Li 0.751 0.249 0.250
Li 0.947 0.053 0.250
Ti 0.146 0.854 0.250
Ti 0.854 0.146 0.750
Ni 0.348 0.652 0.250
Ni 0.451 0.549 0.750
Ni 0.549 0.451 0.250
Ni 0.652 0.348 0.750
O 0.000 0.500 0.000
O 0.091 0.387 0.517
O 0.190 0.303 0.993
O 0.303 0.190 0.493
O 0.387 0.091 0.017
O 0.500 0.000 0.500
O 0.613 0.909 0.983
O 0.697 0.810 0.507
O 0.810 0.697 0.007
O 0.909 0.613 0.483

Top 10 peaks for 10 to 80 degrees two-theta, sorted by position:
2theta  d_spacing  I/Imax
19.55  4.540  46
22.47  3.958  38
23.97  3.713  17
30.41  2.940  21
37.37  2.407  37
43.23  2.093  100
44.11  2.053  47
63.23  1.471  27
63.72  1.460  28
79.69  1.203  18



7.
Starting from a PBE+U-relaxed structure, the X-ray diffraction stick pattern of CaLa3Mn4O12 was computed for Cu Kα (weighted mean of Kα1 and Kα2).

Crystal structure
Unit cell a=5.544 b=7.852 c=5.546 alpha=90.00 beta=90.55 gamma=90.00
Element x y z (fractional)
Ca 0.000 0.000 0.000
La 0.014 0.500 0.944
La 0.503 0.500 0.442
La 0.514 0.000 0.498
Mn 0.008 0.247 0.470
Mn 0.008 0.753 0.470
Mn 0.508 0.246 0.970
Mn 0.508 0.754 0.970
O 0.081 0.000 0.453
O 0.233 0.292 0.192
O 0.233 0.708 0.192
O 0.287 0.289 0.689
O 0.287 0.711 0.689
O 0.428 0.000 0.957
O 0.579 0.500 0.979
O 0.726 0.214 0.253
O 0.726 0.786 0.253
O 0.786 0.210 0.751
O 0.786 0.790 0.751
O 0.939 0.500 0.481

Top 10 peaks for 10 to 80 degrees two-theta, sorted by position:
2theta  d_spacing  I/Imax
22.61  3.932  12
32.22  2.778  100
32.33  2.769  98
39.80  2.265  28
46.08  1.970  21
46.25  1.963  21
46.55  1.951  20
57.42  1.605  26
57.53  1.602  28
57.72  1.597  25



8.
Starting from a PBE+U-relaxed structure, the X-ray diffraction stick pattern of SrMoO3 was computed for Cu Kα (weighted mean of Kα1 and Kα2).

Crystal structure
Unit cell a=5.774 b=5.774 c=5.774 alpha=121.27 beta=88.97 gamma=119.92
Element x y z (fractional)
Sr 0.255 0.005 0.250
Sr 0.745 0.995 0.750
Mo 0.000 0.500 0.500
Mo 0.500 0.500 0.000
O 0.177 0.427 0.750
O 0.293 0.000 0.793
O 0.293 0.500 0.293
O 0.707 0.000 0.207
O 0.707 0.500 0.707
O 0.823 0.573 0.250

Top 10 peaks for 10 to 80 degrees two-theta, sorted by position:
2theta  d_spacing  I/Imax
30.98  2.887  100
31.60  2.831  19
43.96  2.060  12
44.81  2.023  25
54.72  1.677  9
55.09  1.667  27
55.89  1.645  15
64.58  1.443  14
72.73  1.300  7
73.97  1.281  7



9.
Starting from a PBE+U-relaxed structure, the X-ray diffraction stick pattern of Mg6MnCrO8 was computed for Cu Kα (weighted mean of Kα1 and Kα2).

Crystal structure
Unit cell a=4.359 b=4.359 c=8.530 alpha=90.00 beta=90.00 gamma=90.00
Element x y z (fractional)
Mg 0.000 0.000 0.000
Mg 0.000 0.000 0.500
Mg 0.000 0.500 0.248
Mg 0.000 0.500 0.752
Mg 0.500 0.000 0.248
Mg 0.500 0.000 0.752
Mn 0.500 0.500 0.500
Cr 0.500 0.500 0.000
O 0.000 0.000 0.251
O 0.000 0.000 0.749
O 0.000 0.500 0.000
O 0.000 0.500 0.500
O 0.500 0.000 0.000
O 0.500 0.000 0.500
O 0.500 0.500 0.244
O 0.500 0.500 0.756

Top 10 peaks for 10 to 80 degrees two-theta, sorted by position:
2theta  d_spacing  I/Imax
20.37  4.359  15
20.83  4.265  7
29.29  3.049  12
35.95  2.498  34
41.42  2.180  100
42.38  2.133  46
60.02  1.541  28
60.76  1.524  54
71.99  1.312  12
76.21  1.249  25